No. 1
Starting from the PBE+U geometry in the Materials Project, the X-ray powder pattern of Li2Ni3P4O14 was simulated for Cu Kα.

Atomic structure:
```
46
Lattice="7.2850 0.0000 0.0000 0.0000 7.8750 0.0000 -3.2492 0.0000 8.8656" Properties=species:S:1:pos:R:3 pbc="T T T"
Li 1.0704 0.6594 1.2040
Li -0.5542 3.2781 5.6368
Li 4.5901 4.5969 3.2288
Li 2.9655 7.2156 7.6616
Ni 0.7084 0.9891 4.2627
Ni -0.9162 2.9484 8.6956
Ni 3.6425 0.0000 0.0000
Ni 2.0179 3.9375 4.4328
Ni 4.9520 4.9266 0.1701
Ni 3.3274 6.8859 4.6029
P -1.6309 0.3872 6.3552
P -0.0063 3.5503 1.9224
P 2.1644 5.5570 1.7175
P 0.5398 6.2555 6.1503
P 3.4961 1.6195 2.7153
P 1.8715 2.3180 7.1481
P 4.0422 4.3247 6.9432
P 5.6668 7.4878 2.5104
O -1.7597 3.9853 7.0917
O -0.1351 7.8272 2.6589
O -1.0557 1.3256 5.2940
O 0.5689 2.6119 0.8612
O 0.6696 5.0115 1.6974
O -0.9550 6.8011 6.1302
O -1.2413 0.8685 7.7815
O 0.3833 3.0690 3.3487
O 0.5355 4.9004 5.4788
O 2.1601 6.9121 1.0460
O 3.0484 4.5558 0.9517
O 1.4238 7.2567 5.3845
O 3.1103 1.6159 1.2155
O 1.4857 2.3216 5.6483
O 2.5501 5.5534 3.2173
O 0.9255 6.2591 7.6501
O 2.6120 0.6183 3.4811
O 0.9874 3.3192 7.9140
O 1.8758 0.9629 7.8196
O 3.5004 2.9746 3.3868
O 3.6526 4.8060 5.5170
O 5.2772 7.0065 1.0841
O 4.9909 1.0739 2.7354
O 3.3663 2.8636 7.1682
O 3.4669 5.2631 8.0044
O 5.0915 6.5494 3.5716
O 4.1710 0.0478 6.2067
O 5.7956 3.8897 1.7739
```

Peak list (10 most intense, 10 to 80 degrees two-theta, sorted by position)
- d = 6.840 Å, I 100.0
- d = 5.888 Å, I 26.2
- d = 5.072 Å, I 53.8
- d = 3.245 Å, I 48.9
- d = 3.055 Å, I 49.6
- d = 3.016 Å, I 62.8
- d = 3.000 Å, I 56.6
- d = 2.961 Å, I 71.5
- d = 2.701 Å, I 25.1
- d = 2.451 Å, I 34.2

=====

No. 2
Starting from the PBE+U geometry in the Materials Project, the X-ray powder pattern of Li9Mn2Co5O16 was simulated for Cu Kα.

Atomic structure:
```
32
Lattice="5.8849 0.0000 0.0000 0.0000 2.8755 0.0000 -0.0448 0.0000 17.1127" Properties=species:S:1:pos:R:3 pbc="T T T"
Li 0.0000 0.0000 0.0000
Li -0.0142 0.0000 8.6925
Li 1.4702 1.4378 10.6387
Li 1.5021 1.4378 2.2492
Li 2.9582 0.0000 4.3717
Li 2.9721 0.0000 12.7013
Li 4.3870 1.4378 6.4942
Li 4.4070 1.4378 10.7083
Li 4.4127 1.4378 14.8642
Mn 1.4377 1.4378 14.9346
Mn 4.4268 1.4378 2.1717
Co 0.0077 0.0000 4.4041
Co 1.5440 1.4378 6.4735
Co 2.9375 0.0000 17.0599
Co 2.9932 0.0000 8.7974
Co 5.8054 0.0000 12.5807
O 0.0317 0.0000 10.8106
O 0.1257 0.0000 6.4033
O 0.1508 0.0000 15.0584
O 1.3292 1.4378 13.0423
O 1.4012 1.4378 4.3161
O 1.6325 1.4378 8.5224
O 1.6072 1.4378 16.9529
O 2.7498 0.0000 14.9282
O 2.8509 0.0000 6.4312
O 2.9276 0.0000 10.6024
O 3.0743 0.0000 2.1056
O 4.2411 1.4378 17.0579
O 4.2689 1.4378 8.5602
O 4.5135 1.4378 4.3338
O 4.5170 1.4378 12.8749
O 5.7774 0.0000 2.1440
```

Peak list (10 most intense, 10 to 80 degrees two-theta, sorted by position)
- d = 4.854 Å, I 100.0
- d = 2.564 Å, I 16.9
- d = 2.473 Å, I 24.2
- d = 2.139 Å, I 27.0
- d = 2.057 Å, I 52.3
- d = 1.916 Å, I 9.1
- d = 1.593 Å, I 9.5
- d = 1.484 Å, I 13.9
- d = 1.481 Å, I 13.3
- d = 1.471 Å, I 7.5

=====

No. 3
Starting from the PBE+U geometry in the Materials Project, the X-ray powder pattern of LiFe2OF5 was simulated for Cu Kα.

Atomic structure:
```
27
Lattice="4.5631 0.0000 0.0000 0.0686 8.6814 0.0000 0.0377 4.3275 7.5481" Properties=species:S:1:pos:R:3 pbc="T T T"
Li 0.0000 0.0000 0.0000
Li 0.1704 8.6683 5.0331
Li 2.3477 4.3068 2.5197
Fe 0.1846 3.0346 0.1006
Fe 2.3377 10.0686 7.3985
Fe 2.4809 5.7355 5.2097
Fe 2.5126 9.8754 2.5782
Fe 4.5748 3.0228 4.9639
Fe 4.6105 7.1543 2.5666
O 1.2174 8.6968 6.8061
O 3.6121 8.5689 3.2946
O 3.5836 4.3556 5.8080
F 1.2312 10.1907 4.1399
F 1.2204 7.0709 4.2100
F 1.2259 5.8264 6.7721
F 1.2723 11.5602 6.6186
F 1.2522 8.5867 1.6913
F 1.3095 4.3575 4.2142
F 1.3184 5.8407 1.6481
F 1.3085 2.7770 1.7259
F 3.4510 4.3685 0.8546
F 3.4456 2.8114 3.3313
F 3.4685 5.7472 3.4086
F 3.6009 10.1843 5.8388
F 3.5826 7.2065 5.9915
F 3.6069 7.0903 0.8234
F 3.5746 1.5167 0.9020
```

Peak list (10 most intense, 10 to 80 degrees two-theta, sorted by position)
- d = 4.351 Å, I 75.9
- d = 3.157 Å, I 100.0
- d = 3.144 Å, I 58.8
- d = 3.133 Å, I 37.9
- d = 2.204 Å, I 43.7
- d = 2.192 Å, I 21.6
- d = 1.967 Å, I 22.4
- d = 1.694 Å, I 26.4
- d = 1.690 Å, I 26.5
- d = 1.682 Å, I 24.9

=====

No. 4
Starting from the PBE+U geometry in the Materials Project, the X-ray powder pattern of MgMn2Se4O12 was simulated for Cu Kα.

Atomic structure:
```
19
Lattice="5.4446 0.0000 0.0000 -0.7499 6.8538 0.0000 -0.4473 -0.2293 7.8756" Properties=species:S:1:pos:R:3 pbc="T T T"
Mg 0.0000 0.0000 0.0000
Mn -0.2567 1.5335 2.8778
Mn 2.0547 4.7335 6.7057
Se -0.7485 5.9726 5.0989
Se -0.0877 3.5648 0.3590
Se 2.7206 0.3819 1.3043
Se 2.4526 2.6372 4.2857
O 0.2657 0.7392 4.5849
O 0.4795 6.4696 1.6394
O 0.2589 6.0321 6.5312
O 1.0076 3.2042 7.4689
O 1.3741 2.5312 2.8712
O 1.8528 4.1763 4.8739
O 2.9258 5.9026 0.5632
O 3.6206 0.3350 2.7949
O 3.2385 6.2650 6.0479
O 3.8799 3.1029 3.4765
O 3.8484 3.4972 6.9202
O 5.1137 1.8300 0.8336
```

Peak list (10 most intense, 10 to 80 degrees two-theta, sorted by position)
- d = 5.245 Å, I 100.0
- d = 5.096 Å, I 59.2
- d = 3.949 Å, I 72.1
- d = 3.850 Å, I 83.8
- d = 3.682 Å, I 62.6
- d = 3.502 Å, I 51.1
- d = 3.372 Å, I 36.7
- d = 2.701 Å, I 48.9
- d = 2.419 Å, I 44.8
- d = 2.308 Å, I 38.2

=====

No. 5
Starting from the PBE+U geometry in the Materials Project, the X-ray powder pattern of Cr5O7 was simulated for Cu Kα.

Atomic structure:
```
24
Lattice="1.5096 -5.0830 0.0000 1.5096 5.0830 0.0000 0.0000 0.0000 18.2395" Properties=species:S:1:pos:R:3 pbc="T T T"
Cr 0.0000 0.0000 0.0000
Cr 0.0000 0.0000 9.1197
Cr 1.5096 2.3664 10.4848
Cr 1.5096 2.3664 16.8744
Cr 1.5096 0.3585 2.9121
Cr 1.5096 0.3585 6.2077
Cr 1.5096 -0.3585 12.0318
Cr 1.5096 -0.3585 15.3274
Cr 1.5096 -2.3664 1.3650
Cr 1.5096 -2.3664 7.7547
O 1.5096 4.0591 1.8051
O 1.5096 4.0591 7.3147
O 1.5096 3.5158 12.0472
O 1.5096 3.5158 15.3120
O 1.5096 1.5179 0.5854
O 1.5096 1.5179 8.5343
O 1.5096 0.4161 13.6796
O 1.5096 -0.4161 4.5599
O 1.5096 -1.5179 9.7051
O 1.5096 -1.5179 17.6541
O 1.5096 -3.5158 2.9275
O 1.5096 -3.5158 6.1922
O 1.5096 -4.0591 10.9248
O 1.5096 -4.0591 16.4344
```

Peak list (10 most intense, 10 to 80 degrees two-theta, sorted by position)
- d = 4.440 Å, I 33.8
- d = 2.759 Å, I 35.9
- d = 2.610 Å, I 100.0
- d = 2.319 Å, I 20.1
- d = 2.237 Å, I 25.6
- d = 2.188 Å, I 55.6
- d = 2.114 Å, I 46.5
- d = 2.021 Å, I 30.3
- d = 1.531 Å, I 30.6
- d = 1.510 Å, I 20.0

=====

Please write out number 4 again, unchanged.
Starting from the PBE+U geometry in the Materials Project, the X-ray powder pattern of MgMn2Se4O12 was simulated for Cu Kα.

Atomic structure:
```
19
Lattice="5.4446 0.0000 0.0000 -0.7499 6.8538 0.0000 -0.4473 -0.2293 7.8756" Properties=species:S:1:pos:R:3 pbc="T T T"
Mg 0.0000 0.0000 0.0000
Mn -0.2567 1.5335 2.8778
Mn 2.0547 4.7335 6.7057
Se -0.7485 5.9726 5.0989
Se -0.0877 3.5648 0.3590
Se 2.7206 0.3819 1.3043
Se 2.4526 2.6372 4.2857
O 0.2657 0.7392 4.5849
O 0.4795 6.4696 1.6394
O 0.2589 6.0321 6.5312
O 1.0076 3.2042 7.4689
O 1.3741 2.5312 2.8712
O 1.8528 4.1763 4.8739
O 2.9258 5.9026 0.5632
O 3.6206 0.3350 2.7949
O 3.2385 6.2650 6.0479
O 3.8799 3.1029 3.4765
O 3.8484 3.4972 6.9202
O 5.1137 1.8300 0.8336
```

Peak list (10 most intense, 10 to 80 degrees two-theta, sorted by position)
- d = 5.245 Å, I 100.0
- d = 5.096 Å, I 59.2
- d = 3.949 Å, I 72.1
- d = 3.850 Å, I 83.8
- d = 3.682 Å, I 62.6
- d = 3.502 Å, I 51.1
- d = 3.372 Å, I 36.7
- d = 2.701 Å, I 48.9
- d = 2.419 Å, I 44.8
- d = 2.308 Å, I 38.2